Diffraction record for K3PrBr6. The X-ray diffraction stick pattern is calculated, not measured: it uses DFT lattice parameters and positions (PBE) and CuKα.
Peak positions follow from Bragg's law for the DFT cell and can differ from measured ones.

Most intense lines, 2θ from 10° to 90°, in order of falling intensity:
two_theta	d/Å	intensity
29.64	3.014	100
42.41	2.131	72
14.69	6.029	67
25.59	3.481	53
33.23	2.696	35
69.76	1.348	30
12.72	6.961	28
52.59	1.740	25
77.58	1.231	22
50.19	1.818	22

Atomic structure:
Lattice parameters (Å, degrees): 8.526 8.526 8.526 60.00 60.00 60.00
Element x y z (fractional)
K (0.000, 0.000, 0.000)
K (0.250, 0.250, 0.250)
K (0.750, 0.750, 0.750)
Pr (0.500, 0.500, 0.500)
Br (0.260, 0.260, 0.740)
Br (0.260, 0.740, 0.260)
Br (0.260, 0.740, 0.740)
Br (0.740, 0.260, 0.260)
Br (0.740, 0.260, 0.740)
Br (0.740, 0.740, 0.260)

=====

Diffraction record for K2PrBr5. The X-ray diffraction stick pattern is calculated, not measured: it uses DFT lattice parameters and positions (PBE) and CuKα.
Peak positions follow from Bragg's law for the DFT cell and can differ from measured ones.

Most intense lines, 2θ from 10° to 90°, in order of falling intensity:
two_theta	d/Å	intensity
28.96	3.084	100
12.10	7.314	95
28.02	3.185	79
32.49	2.756	78
31.13	2.873	71
35.13	2.555	62
38.78	2.322	62
12.92	6.851	59
25.36	3.513	49
19.10	4.646	47

Atomic structure:
Lattice parameters (Å, degrees): 13.702 9.288 8.649 90.00 90.00 90.00
Element x y z (fractional)
K (0.172, 0.005, 0.057)
K (0.172, 0.495, 0.057)
K (0.328, 0.505, 0.557)
K (0.328, 0.995, 0.557)
K (0.672, 0.005, 0.443)
K (0.672, 0.495, 0.443)
K (0.828, 0.505, 0.943)
K (0.828, 0.995, 0.943)
Pr (0.006, 0.250, 0.578)
Pr (0.494, 0.750, 0.078)
Pr (0.506, 0.250, 0.922)
Pr (0.994, 0.750, 0.422)
Br (0.008, 0.250, 0.925)
Br (0.076, 0.545, 0.667)
Br (0.076, 0.955, 0.667)
Br (0.182, 0.250, 0.377)
Br (0.205, 0.750, 0.340)
Br (0.295, 0.250, 0.840)
Br (0.318, 0.750, 0.877)
Br (0.424, 0.045, 0.167)
Br (0.424, 0.455, 0.167)
Br (0.492, 0.750, 0.425)
Br (0.508, 0.250, 0.575)
Br (0.576, 0.545, 0.833)
Br (0.576, 0.955, 0.833)
Br (0.682, 0.250, 0.123)
Br (0.705, 0.750, 0.160)
Br (0.795, 0.250, 0.660)
Br (0.818, 0.750, 0.623)
Br (0.924, 0.045, 0.333)
Br (0.924, 0.455, 0.333)
Br (0.992, 0.750, 0.075)

=====

Diffraction record for K2RbPrBr6. The X-ray diffraction stick pattern is calculated, not measured: it uses DFT lattice parameters and positions (PBE) and CuKα.
Peak positions follow from Bragg's law for the DFT cell and can differ from measured ones.

Most intense lines, 2θ from 10° to 90°, in order of falling intensity:
two_theta	d/Å	intensity
29.02	3.077	100
14.39	6.154	81
41.50	2.176	72
32.53	2.752	43
25.06	3.553	36
68.14	1.376	29
51.44	1.777	24
44.15	2.051	23
75.71	1.256	21
20.41	4.352	18

Atomic structure:
Lattice parameters (Å, degrees): 8.703 8.703 8.703 60.00 60.00 60.00
Element x y z (fractional)
K (0.250, 0.250, 0.250)
K (0.750, 0.750, 0.750)
Rb (0.000, 0.000, 0.000)
Pr (0.500, 0.500, 0.500)
Br (0.264, 0.264, 0.736)
Br (0.264, 0.736, 0.264)
Br (0.264, 0.736, 0.736)
Br (0.736, 0.264, 0.264)
Br (0.736, 0.264, 0.736)
Br (0.736, 0.736, 0.264)

=====

Diffraction record for K2PtBr6. The X-ray diffraction stick pattern is calculated, not measured: it uses DFT lattice parameters and positions (PBE) and CuKα.
Peak positions follow from Bragg's law for the DFT cell and can differ from measured ones.

Most intense lines, 2θ from 10° to 90°, in order of falling intensity:
two_theta	d/Å	intensity
33.77	2.654	100
25.77	3.457	89
12.57	7.045	77
13.71	6.461	76
14.27	6.208	59
22.54	3.945	48
42.65	2.120	34
17.70	5.011	33
34.49	2.600	32
50.77	1.798	31

Atomic structure:
Lattice parameters (Å, degrees): 8.648 8.648 8.648 132.87 130.29 70.91
Element x y z (fractional)
K (0.177, 0.177, 0.000)
K (0.823, 0.823, 0.000)
Pt (0.500, 0.500, 0.000)
Br (0.136, 0.377, 0.758)
Br (0.329, 0.000, 0.329)
Br (0.381, 0.623, 0.758)
Br (0.619, 0.377, 0.242)
Br (0.671, 0.000, 0.671)
Br (0.864, 0.623, 0.242)

=====

Diffraction record for K2PtBr4. The X-ray diffraction stick pattern is calculated, not measured: it uses DFT lattice parameters and positions (PBE) and CuKα.
Peak positions follow from Bragg's law for the DFT cell and can differ from measured ones.

Most intense lines, 2θ from 10° to 90°, in order of falling intensity:
two_theta	d/Å	intensity
11.80	7.498	100
19.81	4.482	60
33.81	2.651	56
26.03	3.423	50
23.12	3.847	44
39.49	2.282	38
53.54	1.711	29
43.16	2.096	22
48.24	1.886	21
64.84	1.438	19

Atomic structure:
Lattice parameters (Å, degrees): 7.498 7.498 4.482 90.00 90.00 90.00
Element x y z (fractional)
K (0.000, 0.500, 0.000)
K (0.500, 0.000, 0.000)
Pt (0.000, 0.000, 0.500)
Br (0.233, 0.233, 0.500)
Br (0.233, 0.767, 0.500)
Br (0.767, 0.233, 0.500)
Br (0.767, 0.767, 0.500)

=====

Diffraction record for K2PtBr6. The X-ray diffraction stick pattern is calculated, not measured: it uses DFT lattice parameters and positions (PBE) and CuKα.
Peak positions follow from Bragg's law for the DFT cell and can differ from measured ones.

Most intense lines, 2θ from 10° to 90°, in order of falling intensity:
two_theta	d/Å	intensity
33.92	2.643	100
14.51	6.103	96
16.77	5.286	73
48.73	1.869	68
29.27	3.052	50
38.07	2.364	37
27.99	3.187	36
81.43	1.182	28
44.54	2.034	27
51.12	1.787	23

Atomic structure:
Lattice parameters (Å, degrees): 7.475 7.475 7.475 60.00 60.00 60.00
Element x y z (fractional)
K (0.250, 0.250, 0.250)
K (0.750, 0.750, 0.750)
Pt (0.000, 0.000, 0.000)
Br (0.237, 0.237, 0.763)
Br (0.237, 0.763, 0.237)
Br (0.237, 0.763, 0.763)
Br (0.763, 0.237, 0.237)
Br (0.763, 0.237, 0.763)
Br (0.763, 0.763, 0.237)

=====

Diffraction record for K2RbTaBr6. The X-ray diffraction stick pattern is calculated, not measured: it uses DFT lattice parameters and positions (PBE) and CuKα.
Peak positions follow from Bragg's law for the DFT cell and can differ from measured ones.

Most intense lines, 2θ from 10° to 90°, in order of falling intensity:
two_theta	d/Å	intensity
15.16	5.845	100
30.59	2.923	97
43.81	2.067	65
34.30	2.614	46
13.12	6.750	42
21.50	4.133	29
26.41	3.375	24
46.61	1.948	24
72.29	1.307	23
40.08	2.250	21

Atomic structure:
Lattice parameters (Å, degrees): 8.266 8.266 8.266 60.00 60.00 60.00
Element x y z (fractional)
K (0.250, 0.250, 0.250)
K (0.750, 0.750, 0.750)
Rb (0.000, 0.000, 0.000)
Ta (0.500, 0.500, 0.500)
Br (0.276, 0.276, 0.724)
Br (0.276, 0.724, 0.276)
Br (0.276, 0.724, 0.724)
Br (0.724, 0.276, 0.276)
Br (0.724, 0.276, 0.724)
Br (0.724, 0.724, 0.276)

=====

Diffraction record for K2RbTlBr6. The X-ray diffraction stick pattern is calculated, not measured: it uses DFT lattice parameters and positions (PBE) and CuKα.
Peak positions follow from Bragg's law for the DFT cell and can differ from measured ones.

Most intense lines, 2θ from 10° to 90°, in order of falling intensity:
two_theta	d/Å	intensity
14.76	6.003	100
29.77	3.001	98
42.60	2.122	69
33.38	2.685	51
12.77	6.932	38
20.93	4.245	30
45.32	2.001	27
70.11	1.342	27
52.83	1.733	23
25.70	3.466	21

Atomic structure:
Lattice parameters (Å, degrees): 8.489 8.489 8.489 60.00 60.00 60.00
Element x y z (fractional)
K (0.250, 0.250, 0.250)
K (0.750, 0.750, 0.750)
Rb (0.000, 0.000, 0.000)
Tl (0.500, 0.500, 0.500)
Br (0.269, 0.269, 0.731)
Br (0.269, 0.731, 0.269)
Br (0.269, 0.731, 0.731)
Br (0.731, 0.269, 0.269)
Br (0.731, 0.269, 0.731)
Br (0.731, 0.731, 0.269)